1.
Simulated X-ray diffraction stick pattern
Compound: LiTi2NbN4
Radiation: Cu Kα X-rays
Structure: a cell relaxed with PBE

The 10 most intense peaks (2θ from 15° to 90°), most intense first:
2θ = 23.37°, rel. 100
2θ = 36.52°, rel. 76
2θ = 42.59°, rel. 72
2θ = 61.42°, rel. 43
2θ = 42.08°, rel. 38
2θ = 37.90°, rel. 28
2θ = 49.14°, rel. 26
2θ = 61.80°, rel. 21
2θ = 73.97°, rel. 20
2θ = 77.60°, rel. 20

Structure:
```
data_LiTi2NbN4
_symmetry_space_group_name_H-M 'I 4/m m m'
_symmetry_Int_Tables_number 139
_symmetry_space_group_name_Hall '-I 4 2'
_cell_length_a 4.246
_cell_length_b 4.246
_cell_length_c 8.589
_cell_angle_alpha 90.00
_cell_angle_beta 90.00
_cell_angle_gamma 90.00
loop_
_atom_site_label
_atom_site_type_symbol
_atom_site_fract_x
_atom_site_fract_y
_atom_site_fract_z
_atom_site_occupancy
Li1 Li 0.000 0.000 0.000 1
Ti1 Ti 0.000 0.500 0.250 1
Nb1 Nb 0.000 0.000 0.500 1
N1 N 0.000 0.000 0.248 1
N2 N 0.000 0.500 0.000 1
```



2.
Simulated X-ray diffraction stick pattern
Compound: LiNd3P2N6
Radiation: Cu Kα X-rays
Structure: a cell relaxed with PBE

The 10 most intense peaks (2θ from 15° to 90°), most intense first:
2θ = 23.31°, rel. 100
2θ = 31.73°, rel. 87
2θ = 34.61°, rel. 69
2θ = 39.74°, rel. 41
2θ = 47.65°, rel. 38
2θ = 58.38°, rel. 30
2θ = 51.72°, rel. 25
2θ = 55.63°, rel. 19
2θ = 56.51°, rel. 17
2θ = 66.28°, rel. 14

Structure:
```
data_LiNd3P2N6
_symmetry_space_group_name_H-M 'P -3 m 1'
_symmetry_Int_Tables_number 164
_symmetry_space_group_name_Hall '-P 3 2"'
_cell_length_a 5.6409
_cell_length_b 5.6409
_cell_length_c 6.1153
_cell_angle_alpha 90.00
_cell_angle_beta 90.00
_cell_angle_gamma 120.00
loop_
_atom_site_label
_atom_site_type_symbol
_atom_site_fract_x
_atom_site_fract_y
_atom_site_fract_z
_atom_site_occupancy
Li1 Li 0.0000 0.0000 0.0000 1
Nd1 Nd 0.0000 0.0000 0.5000 1
Nd2 Nd 0.3333 0.6667 0.1494 1
P1 P 0.3333 0.6667 0.6922 1
N1 N 0.1768 0.3536 0.7863 1
```



3.
Simulated X-ray diffraction stick pattern
Compound: LiNd2P2N6
Radiation: Cu Kα X-rays
Structure: a cell relaxed with PBE

The 10 most intense peaks (2θ from 15° to 90°), most intense first:
2θ = 32.42°, rel. 100
2θ = 32.56°, rel. 98
2θ = 15.69°, rel. 87
2θ = 21.40°, rel. 81
2θ = 36.33°, rel. 57
2θ = 58.04°, rel. 56
2θ = 39.30°, rel. 45
2θ = 46.61°, rel. 40
2θ = 41.86°, rel. 19
2θ = 68.20°, rel. 18

Structure:
```
data_LiNd2P2N6
_symmetry_space_group_name_H-M 'R -3 m'
_symmetry_Int_Tables_number 166
_symmetry_space_group_name_Hall '-R 3 2"'
_cell_length_a 5.5002
_cell_length_b 5.5002
_cell_length_c 16.9443
_cell_angle_alpha 90.00
_cell_angle_beta 90.00
_cell_angle_gamma 120.00
loop_
_atom_site_label
_atom_site_type_symbol
_atom_site_fract_x
_atom_site_fract_y
_atom_site_fract_z
_atom_site_occupancy
Li1 Li 0.0000 0.0000 0.0000 1
Nd1 Nd 0.0000 0.0000 0.2075 1
P1 P 0.0000 0.0000 0.4218 1
N1 N 0.0028 0.5014 0.2437 1
```



4.
Simulated X-ray diffraction stick pattern
Compound: Li2NdPN
Radiation: Cu Kα X-rays
Structure: a cell relaxed with PBE

The 10 most intense peaks (2θ from 15° to 90°), most intense first:
2θ = 21.26°, rel. 100
2θ = 18.93°, rel. 96
2θ = 35.93°, rel. 95
2θ = 30.25°, rel. 90
2θ = 28.62°, rel. 62
2θ = 49.65°, rel. 43
2θ = 47.65°, rel. 38
2θ = 43.30°, rel. 36
2θ = 44.32°, rel. 29
2θ = 59.25°, rel. 28

Structure:
```
data_Li2NdPN
_symmetry_space_group_name_H-M 'I 4/m c m'
_symmetry_Int_Tables_number 140
_symmetry_space_group_name_Hall '-I 4 2c'
_cell_length_a 5.910
_cell_length_b 5.910
_cell_length_c 9.374
_cell_angle_alpha 90.00
_cell_angle_beta 90.00
_cell_angle_gamma 90.00
loop_
_atom_site_label
_atom_site_type_symbol
_atom_site_fract_x
_atom_site_fract_y
_atom_site_fract_z
_atom_site_occupancy
Li1 Li 0.177 0.323 0.000 1
Nd1 Nd 0.000 0.000 0.250 1
P1 P 0.000 0.500 0.250 1
N1 N 0.000 0.000 0.000 1
```



5.
Simulated X-ray diffraction stick pattern
Compound: Li2NdTc2N4
Radiation: Cu Kα X-rays
Structure: a cell relaxed with PBE

The 10 most intense peaks (2θ from 15° to 90°), most intense first:
2θ = 17.22°, rel. 100
2θ = 33.19°, rel. 36
2θ = 34.69°, rel. 27
2θ = 38.83°, rel. 24
2θ = 40.38°, rel. 20
2θ = 39.13°, rel. 15
2θ = 32.54°, rel. 12
2θ = 29.13°, rel. 11
2θ = 53.49°, rel. 10
2θ = 54.50°, rel. 10

Structure:
```
data_Li2NdTc2N4
_symmetry_space_group_name_H-M 'C 1 2/m 1'
_symmetry_Int_Tables_number 12
_symmetry_space_group_name_Hall '-C 2y'
_cell_length_a 10.420
_cell_length_b 3.332
_cell_length_c 8.261
_cell_angle_alpha 90.00
_cell_angle_beta 119.91
_cell_angle_gamma 90.00
loop_
_atom_site_label
_atom_site_type_symbol
_atom_site_fract_x
_atom_site_fract_y
_atom_site_fract_z
_atom_site_occupancy
Li1 Li 0.140 0.000 0.229 1
Nd1 Nd 0.000 0.000 0.500 1
Tc1 Tc 0.146 0.500 0.887 1
N1 N 0.048 0.500 0.314 1
N2 N 0.227 0.000 0.822 1
```



6.
Simulated X-ray diffraction stick pattern
Compound: Li6Ni2N3
Radiation: Cu Kα X-rays
Structure: a cell relaxed with PBE

The 10 most intense peaks (2θ from 15° to 90°), most intense first:
2θ = 27.68°, rel. 100
2θ = 15.84°, rel. 52
2θ = 27.89°, rel. 51
2θ = 30.00°, rel. 36
2θ = 37.83°, rel. 35
2θ = 15.96°, rel. 32
2θ = 49.21°, rel. 23
2θ = 59.84°, rel. 23
2θ = 37.99°, rel. 19
2θ = 32.23°, rel. 19

Structure:
```
data_Li6Ni2N3
_symmetry_space_group_name_H-M 'A m m 2'
_symmetry_Int_Tables_number 38
_symmetry_space_group_name_Hall 'A 2 -2'
_cell_length_a 3.524
_cell_length_b 11.191
_cell_length_c 6.398
_cell_angle_alpha 90.00
_cell_angle_beta 90.00
_cell_angle_gamma 90.00
loop_
_atom_site_label
_atom_site_type_symbol
_atom_site_fract_x
_atom_site_fract_y
_atom_site_fract_z
_atom_site_occupancy
Li1 Li 0.000 0.000 0.000 1
Li2 Li 0.000 0.121 0.579 1
Li3 Li 0.000 0.165 0.219 1
Li4 Li 0.500 0.000 0.333 1
Ni1 Ni 0.500 0.182 0.895 1
N1 N 0.000 0.000 0.344 1
N2 N 0.000 0.180 0.894 1
```



7.
Simulated X-ray diffraction stick pattern
Compound: Li2NiN
Radiation: Cu Kα X-rays
Structure: a cell relaxed with PBE

The 10 most intense peaks (2θ from 15° to 90°), most intense first:
2θ = 27.07°, rel. 100
2θ = 37.49°, rel. 48
2θ = 47.84°, rel. 27
2θ = 59.84°, rel. 17
2θ = 73.54°, rel. 13
2θ = 25.44°, rel. 11
2θ = 55.83°, rel. 11
2θ = 62.31°, rel. 11
2θ = 82.19°, rel. 10
2θ = 54.95°, rel. 9

Structure:
```
data_Li2NiN
_symmetry_space_group_name_H-M 'P 6/m m m'
_symmetry_Int_Tables_number 191
_symmetry_space_group_name_Hall '-P 6 2'
_cell_length_a 3.8030
_cell_length_b 3.8030
_cell_length_c 3.5008
_cell_angle_alpha 90.00
_cell_angle_beta 90.00
_cell_angle_gamma 120.00
loop_
_atom_site_label
_atom_site_type_symbol
_atom_site_fract_x
_atom_site_fract_y
_atom_site_fract_z
_atom_site_occupancy
Li1 Li 0.3333 0.6667 0.0000 1
Ni1 Ni 0.0000 0.0000 0.5000 1
N1 N 0.0000 0.0000 0.0000 1
```



8.
Simulated X-ray diffraction stick pattern
Compound: Li5Ni3N3
Radiation: Cu Kα X-rays
Structure: a cell relaxed with PBE

The 10 most intense peaks (2θ from 15° to 90°), most intense first:
2θ = 27.36°, rel. 100
2θ = 37.84°, rel. 45
2θ = 48.37°, rel. 20
2θ = 60.35°, rel. 17
2θ = 25.63°, rel. 13
2θ = 74.29°, rel. 10
2θ = 56.47°, rel. 8
2θ = 42.36°, rel. 8
2θ = 55.53°, rel. 8
2θ = 15.70°, rel. 7

Structure:
```
data_Li5Ni3N3
_symmetry_space_group_name_H-M 'P -6 2 m'
_symmetry_Int_Tables_number 189
_symmetry_space_group_name_Hall 'P -6 -2'
_cell_length_a 6.5185
_cell_length_b 6.5185
_cell_length_c 3.4761
_cell_angle_alpha 90.00
_cell_angle_beta 90.00
_cell_angle_gamma 120.00
loop_
_atom_site_label
_atom_site_type_symbol
_atom_site_fract_x
_atom_site_fract_y
_atom_site_fract_z
_atom_site_occupancy
Li1 Li 0.0000 0.2627 0.0000 1
Li2 Li 0.3333 0.6667 0.0000 1
Ni1 Ni 0.0000 0.6305 0.5000 1
N1 N 0.0000 0.6338 0.0000 1
```



9.
Simulated X-ray diffraction stick pattern
Compound: LiNiN
Radiation: Cu Kα X-rays
Structure: a cell relaxed with PBE

The 10 most intense peaks (2θ from 15° to 90°), most intense first:
2θ = 26.27°, rel. 100
2θ = 36.77°, rel. 45
2θ = 45.05°, rel. 41
2θ = 25.27°, rel. 40
2θ = 44.43°, rel. 37
2θ = 52.35°, rel. 33
2θ = 35.93°, rel. 30
2θ = 71.11°, rel. 19
2θ = 51.89°, rel. 17
2θ = 59.07°, rel. 17

Structure:
```
data_LiNiN
_symmetry_space_group_name_H-M 'F m m m'
_symmetry_Int_Tables_number 69
_symmetry_space_group_name_Hall '-F 2 2'
_cell_length_a 5.000
_cell_length_b 6.786
_cell_length_c 7.049
_cell_angle_alpha 90.00
_cell_angle_beta 90.00
_cell_angle_gamma 90.00
loop_
_atom_site_label
_atom_site_type_symbol
_atom_site_fract_x
_atom_site_fract_y
_atom_site_fract_z
_atom_site_occupancy
Li1 Li 0.000 0.208 0.000 1
Ni1 Ni 0.250 0.000 0.250 1
N1 N 0.143 0.000 0.500 1
```



10.
Simulated X-ray diffraction stick pattern
Compound: Sr3Li3Ni4N4
Radiation: Cu Kα X-rays
Structure: a cell relaxed with PBE

The 10 most intense peaks (2θ from 15° to 90°), most intense first:
2θ = 34.80°, rel. 100
2θ = 33.21°, rel. 84
2θ = 34.20°, rel. 70
2θ = 25.44°, rel. 66
2θ = 33.35°, rel. 50
2θ = 29.51°, rel. 38
2θ = 44.95°, rel. 36
2θ = 60.76°, rel. 36
2θ = 57.02°, rel. 35
2θ = 63.99°, rel. 30

Structure:
```
data_Sr3Li3Ni4N4
_symmetry_space_group_name_H-M 'I m m m'
_symmetry_Int_Tables_number 71
_symmetry_space_group_name_Hall '-I 2 2'
_cell_length_a 4.033
_cell_length_b 7.051
_cell_length_c 16.757
_cell_angle_alpha 90.00
_cell_angle_beta 90.00
_cell_angle_gamma 90.00
loop_
_atom_site_label
_atom_site_type_symbol
_atom_site_fract_x
_atom_site_fract_y
_atom_site_fract_z
_atom_site_occupancy
Sr1 Sr 0.000 0.000 0.000 1
Sr2 Sr 0.000 0.000 0.218 1
Li1 Li 0.000 0.000 0.500 1
Li2 Li 0.000 0.500 0.116 1
Ni1 Ni 0.000 0.250 0.380 1
N1 N 0.000 0.000 0.379 1
N2 N 0.000 0.500 0.384 1
```



11.
Simulated X-ray diffraction stick pattern
Compound: LiNp3N4
Radiation: Cu Kα X-rays
Structure: a cell relaxed with PBE

The 10 most intense peaks (2θ from 15° to 90°), most intense first:
2θ = 32.51°, rel. 100
2θ = 37.71°, rel. 69
2θ = 54.39°, rel. 48
2θ = 64.81°, rel. 46
2θ = 18.60°, rel. 36
2θ = 26.42°, rel. 31
2θ = 89.55°, rel. 21
2θ = 42.36°, rel. 18
2θ = 68.08°, rel. 16
2θ = 46.63°, rel. 14

Structure:
```
data_LiNp3N4
_symmetry_space_group_name_H-M 'P m -3 m'
_symmetry_Int_Tables_number 221
_symmetry_space_group_name_Hall '-P 4 2 3'
_cell_length_a 4.771
_cell_length_b 4.771
_cell_length_c 4.771
_cell_angle_alpha 90.00
_cell_angle_beta 90.00
_cell_angle_gamma 90.00
loop_
_atom_site_label
_atom_site_type_symbol
_atom_site_fract_x
_atom_site_fract_y
_atom_site_fract_z
_atom_site_occupancy
Li1 Li 0.000 0.000 0.000 1
Np1 Np 0.000 0.500 0.500 1
N1 N 0.000 0.000 0.500 1
N2 N 0.500 0.500 0.500 1
```



12.
Simulated X-ray diffraction stick pattern
Compound: LiNpPa4N8
Radiation: Cu Kα X-rays
Structure: a cell relaxed with PBE

The 10 most intense peaks (2θ from 15° to 90°), most intense first:
2θ = 29.55°, rel. 100
2θ = 27.72°, rel. 45
2θ = 31.32°, rel. 37
2θ = 30.76°, rel. 34
2θ = 51.29°, rel. 32
2θ = 33.05°, rel. 31
2θ = 17.64°, rel. 27
2θ = 45.74°, rel. 24
2θ = 49.39°, rel. 22
2θ = 44.08°, rel. 18

Structure:
```
data_LiNpPa4N8
_symmetry_space_group_name_H-M 'R 3 m'
_symmetry_Int_Tables_number 160
_symmetry_space_group_name_Hall 'R 3 -2"'
_cell_length_a 7.1252
_cell_length_b 7.1252
_cell_length_c 15.0859
_cell_angle_alpha 90.00
_cell_angle_beta 90.00
_cell_angle_gamma 120.00
loop_
_atom_site_label
_atom_site_type_symbol
_atom_site_fract_x
_atom_site_fract_y
_atom_site_fract_z
_atom_site_occupancy
Li1 Li 0.0000 0.0000 0.0000 1
Np1 Np 0.0000 0.0000 0.6101 1
Pa1 Pa 0.0000 0.0000 0.3939 1
Pa2 Pa 0.1671 0.3341 0.8290 1
N1 N 0.0000 0.0000 0.2427 1
N2 N 0.0000 0.0000 0.7560 1
N3 N 0.0262 0.5131 0.7500 1
N4 N 0.1723 0.3445 0.5591 1
```